1.
Structure and simulated X-ray diffraction stick pattern of Sr2TlPb6 (the GGA-PBE geometry in Alexandria; CuKα).
Peak positions follow from Bragg's law for the DFT cell and can differ from measured ones.

Structural model:
Cell: 7.325 7.325 6.646 Å, 90.20 90.20 59.94°
Fractional positions:
Sr 0.167 0.167 0.170
Sr 0.833 0.833 0.830
Tl 0.500 0.500 0.000
Pb 0.133 0.683 0.327
Pb 0.316 0.316 0.672
Pb 0.317 0.867 0.673
Pb 0.683 0.133 0.327
Pb 0.684 0.684 0.328
Pb 0.867 0.317 0.673

Largest 8 diffraction maxima, by angle, 2θ = 10–90°:
- 4.588 Å, 2θ 19.3, rel. 21
- 3.207 Å, 2θ 27.8, rel. 22
- 2.944 Å, 2θ 30.4, rel. 24
- 2.862 Å, 2θ 31.3, rel. 100
- 2.397 Å, 2θ 37.5, rel. 17
- 2.299 Å, 2θ 39.2, rel. 12
- 2.291 Å, 2θ 39.3, rel. 24
- 1.831 Å, 2θ 49.8, rel. 23


2.
Structure and simulated X-ray diffraction stick pattern of Cr5Ru3 (the GGA-PBE geometry in Alexandria; CuKα).
Peak positions follow from Bragg's law for the DFT cell and can differ from measured ones.

Structural model:
Cell: 6.828 4.517 6.938 Å, 90.00 106.93 90.00°
Fractional positions:
Cr 0.000 0.000 0.000
Cr 0.023 0.500 0.484
Cr 0.114 0.000 0.386
Cr 0.196 0.242 0.807
Cr 0.196 0.758 0.807
Cr 0.431 0.264 0.562
Cr 0.431 0.736 0.562
Cr 0.517 0.500 0.986
Cr 0.782 0.000 0.249
Cr 0.872 0.500 0.125
Ru 0.225 0.500 0.189
Ru 0.404 0.000 0.181
Ru 0.603 0.000 0.881
Ru 0.640 0.500 0.365
Ru 0.818 0.500 0.776
Ru 0.824 0.000 0.600

Largest 8 diffraction maxima, by angle, 2θ = 10–90°:
- 2.358 Å, 2θ 38.2, rel. 29
- 2.280 Å, 2θ 39.5, rel. 43
- 2.258 Å, 2θ 39.9, rel. 51
- 2.136 Å, 2θ 42.3, rel. 40
- 2.057 Å, 2θ 44.0, rel. 100
- 2.049 Å, 2θ 44.2, rel. 61
- 2.031 Å, 2θ 44.6, rel. 91
- 1.978 Å, 2θ 45.9, rel. 40


3.
Structure and simulated X-ray diffraction stick pattern of SrZnAsCl (the GGA-PBE geometry in Alexandria; CuKα).
Peak positions follow from Bragg's law for the DFT cell and can differ from measured ones.

Structural model:
Cell: 13.744 13.744 13.744 Å, 18.05 18.05 18.05°
Fractional positions:
Sr 0.090 0.090 0.090
Sr 0.910 0.910 0.910
Zn 0.310 0.310 0.310
Zn 0.690 0.690 0.690
As 0.375 0.375 0.375
As 0.625 0.625 0.625
Cl 0.207 0.207 0.207
Cl 0.793 0.793 0.793

Largest 8 diffraction maxima, by angle, 2θ = 10–90°:
- 3.503 Å, 2θ 25.4, rel. 65
- 3.389 Å, 2θ 26.3, rel. 22
- 3.138 Å, 2θ 28.4, rel. 54
- 2.746 Å, 2θ 32.6, rel. 69
- 2.394 Å, 2θ 37.6, rel. 43
- 2.155 Å, 2θ 41.9, rel. 100
- 2.010 Å, 2θ 45.1, rel. 36
- 1.685 Å, 2θ 54.4, rel. 19


4.
Structure and simulated X-ray diffraction stick pattern of Cs2K3TlBr6 (the GGA-PBE geometry in Alexandria; CuKα).
Peak positions follow from Bragg's law for the DFT cell and can differ from measured ones.

Structural model:
Cell: 10.979 10.979 9.852 Å, 103.37 103.37 25.71°
Fractional positions:
Cs 0.166 0.166 0.330
Cs 0.834 0.834 0.670
K 0.166 0.166 0.836
K 0.500 0.500 0.500
K 0.834 0.834 0.164
Tl 0.500 0.500 0.000
Br 0.006 0.006 0.753
Br 0.334 0.334 0.935
Br 0.340 0.340 0.402
Br 0.660 0.660 0.598
Br 0.666 0.666 0.065
Br 0.994 0.994 0.247

Largest 8 diffraction maxima, by angle, 2θ = 10–90°:
- 8.058 Å, 2θ 11.0, rel. 14
- 4.171 Å, 2θ 21.3, rel. 17
- 3.468 Å, 2θ 25.7, rel. 100
- 3.185 Å, 2θ 28.0, rel. 13
- 2.460 Å, 2θ 36.5, rel. 37
- 2.445 Å, 2θ 36.8, rel. 38
- 1.997 Å, 2θ 45.4, rel. 14
- 1.547 Å, 2θ 59.8, rel. 18


5.
Structure and simulated X-ray diffraction stick pattern of Ca3LaZn8 (the GGA-PBE geometry in Alexandria; CuKα).
Peak positions follow from Bragg's law for the DFT cell and can differ from measured ones.

Structural model:
Cell: 5.667 5.667 8.860 Å, 90.00 90.00 120.00°
Fractional positions:
Ca 0.000 0.000 0.000
Ca 0.000 0.000 0.384
Ca 0.333 0.667 0.891
La 0.333 0.667 0.502
Zn 0.336 0.168 0.695
Zn 0.502 0.005 0.193
Zn 0.502 0.498 0.193
Zn 0.667 0.333 0.445
Zn 0.667 0.333 0.943
Zn 0.832 0.168 0.695
Zn 0.832 0.664 0.695
Zn 0.995 0.498 0.193

Largest 8 diffraction maxima, by angle, 2θ = 10–90°:
- 2.834 Å, 2θ 31.6, rel. 24
- 2.531 Å, 2θ 35.5, rel. 53
- 2.387 Å, 2θ 37.7, rel. 100
- 2.365 Å, 2θ 38.0, rel. 87
- 1.571 Å, 2θ 58.8, rel. 24
- 1.535 Å, 2θ 60.3, rel. 24
- 1.437 Å, 2θ 64.9, rel. 28
- 1.417 Å, 2θ 65.9, rel. 26


6.
Structure and simulated X-ray diffraction stick pattern of Ce2ThSe5 (the GGA-PBE geometry in Alexandria; CuKα).
Peak positions follow from Bragg's law for the DFT cell and can differ from measured ones.

Structural model:
Cell: 12.601 8.573 7.921 Å, 90.00 90.00 90.00°
Fractional positions:
Ce 0.179 0.000 0.020
Ce 0.179 0.500 0.020
Ce 0.321 0.000 0.520
Ce 0.321 0.500 0.520
Ce 0.679 0.000 0.480
Ce 0.679 0.500 0.480
Ce 0.821 0.000 0.980
Ce 0.821 0.500 0.980
Th 0.009 0.250 0.579
Th 0.491 0.750 0.079
Th 0.509 0.250 0.921
Th 0.991 0.750 0.421
Se 0.002 0.250 0.961
Se 0.100 0.546 0.665
Se 0.100 0.954 0.665
Se 0.186 0.250 0.329
Se 0.217 0.750 0.299
Se 0.283 0.250 0.799
Se 0.314 0.750 0.829
Se 0.400 0.046 0.165
Se 0.400 0.454 0.165
Se 0.498 0.750 0.461
Se 0.502 0.250 0.539
Se 0.600 0.546 0.835
Se 0.600 0.954 0.835
Se 0.686 0.250 0.171
Se 0.717 0.750 0.201
Se 0.783 0.250 0.701
Se 0.814 0.750 0.671
Se 0.900 0.046 0.335
Se 0.900 0.454 0.335
Se 0.998 0.750 0.039

Largest 8 diffraction maxima, by angle, 2θ = 10–90°:
- 3.711 Å, 2θ 24.0, rel. 52
- 3.612 Å, 2θ 24.6, rel. 41
- 3.544 Å, 2θ 25.1, rel. 45
- 2.641 Å, 2θ 33.9, rel. 100
- 2.538 Å, 2θ 35.4, rel. 54
- 2.143 Å, 2θ 42.2, rel. 40
- 2.095 Å, 2θ 43.2, rel. 47
- 1.855 Å, 2θ 49.1, rel. 52


7.
Structure and simulated X-ray diffraction stick pattern of TiCu2I (the GGA-PBE geometry in Alexandria; CuKα).
Peak positions follow from Bragg's law for the DFT cell and can differ from measured ones.

Structural model:
Cell: 7.474 7.474 5.284 Å, 90.00 90.00 90.00°
Fractional positions:
Ti 0.000 0.000 0.000
Ti 0.000 0.500 0.250
Ti 0.500 0.000 0.750
Ti 0.500 0.500 0.500
Cu 0.245 0.250 0.125
Cu 0.250 0.745 0.375
Cu 0.250 0.755 0.875
Cu 0.255 0.250 0.625
Cu 0.745 0.750 0.625
Cu 0.750 0.245 0.875
Cu 0.750 0.255 0.375
Cu 0.755 0.750 0.125
I 0.000 0.000 0.500
I 0.000 0.500 0.750
I 0.500 0.000 0.250
I 0.500 0.500 0.000

Largest 8 diffraction maxima, by angle, 2θ = 10–90°:
- 4.314 Å, 2θ 20.6, rel. 20
- 2.825 Å, 2θ 31.7, rel. 16
- 2.642 Å, 2θ 33.9, rel. 100
- 2.363 Å, 2θ 38.1, rel. 73
- 1.868 Å, 2θ 48.7, rel. 34
- 1.761 Å, 2θ 51.9, rel. 57
- 1.282 Å, 2θ 74.0, rel. 19
- 1.245 Å, 2θ 76.5, rel. 17


8.
Structure and simulated X-ray diffraction stick pattern of SrGa3N3 (the GGA-PBE geometry in Alexandria; CuKα).
Peak positions follow from Bragg's law for the DFT cell and can differ from measured ones.

Structural model:
Cell: 7.224 7.224 7.224 Å, 54.94 54.94 54.94°
Fractional positions:
Sr 0.187 0.187 0.187
Sr 0.813 0.813 0.813
Ga 0.222 0.222 0.695
Ga 0.222 0.695 0.222
Ga 0.305 0.778 0.778
Ga 0.695 0.222 0.222
Ga 0.778 0.305 0.778
Ga 0.778 0.778 0.305
N 0.099 0.099 0.610
N 0.099 0.610 0.099
N 0.390 0.901 0.901
N 0.610 0.099 0.099
N 0.901 0.390 0.901
N 0.901 0.901 0.390

Largest 8 diffraction maxima, by angle, 2θ = 10–90°:
- 6.114 Å, 2θ 14.5, rel. 23
- 5.505 Å, 2θ 16.1, rel. 22
- 3.096 Å, 2θ 28.8, rel. 45
- 2.926 Å, 2θ 30.6, rel. 69
- 2.753 Å, 2θ 32.5, rel. 100
- 1.940 Å, 2θ 46.8, rel. 22
- 1.835 Å, 2θ 49.7, rel. 19
- 1.666 Å, 2θ 55.1, rel. 40


9.
Structure and simulated X-ray diffraction stick pattern of PrSm7Dy3 (the GGA-PBE geometry in Alexandria; CuKα).
Peak positions follow from Bragg's law for the DFT cell and can differ from measured ones.

Structural model:
Cell: 6.568 6.751 8.735 Å, 99.40 99.13 95.60°
Fractional positions:
Pr 0.000 0.000 0.000
Sm 0.000 0.500 0.000
Sm 0.054 0.209 0.640
Sm 0.224 0.721 0.712
Sm 0.484 0.239 0.913
Sm 0.516 0.761 0.087
Sm 0.776 0.279 0.288
Sm 0.946 0.791 0.360
Dy 0.308 0.434 0.339
Dy 0.500 0.000 0.500
Dy 0.692 0.566 0.661

Largest 8 diffraction maxima, by angle, 2θ = 10–90°:
- 2.872 Å, 2θ 31.1, rel. 27
- 2.862 Å, 2θ 31.3, rel. 61
- 2.839 Å, 2θ 31.5, rel. 100
- 2.823 Å, 2θ 31.7, rel. 44
- 2.815 Å, 2θ 31.8, rel. 61
- 2.794 Å, 2θ 32.0, rel. 50
- 2.789 Å, 2θ 32.1, rel. 36
- 2.725 Å, 2θ 32.9, rel. 45


10.
Structure and simulated X-ray diffraction stick pattern of Li3Sb2O4 (the GGA-PBE geometry in Alexandria; CuKα).
Peak positions follow from Bragg's law for the DFT cell and can differ from measured ones.

Structural model:
Cell: 7.896 7.896 5.288 Å, 95.94 95.94 96.94°
Fractional positions:
Li 0.052 0.948 0.750
Li 0.350 0.500 0.541
Li 0.500 0.350 0.041
Li 0.500 0.650 0.959
Li 0.650 0.500 0.459
Li 0.948 0.052 0.250
Sb 0.092 0.327 0.875
Sb 0.327 0.092 0.375
Sb 0.673 0.908 0.625
Sb 0.908 0.673 0.125
O 0.111 0.164 0.557
O 0.164 0.111 0.057
O 0.317 0.460 0.889
O 0.460 0.317 0.389
O 0.540 0.683 0.611
O 0.683 0.540 0.111
O 0.836 0.889 0.943
O 0.889 0.836 0.443

Largest 8 diffraction maxima, by angle, 2θ = 10–90°:
- 5.171 Å, 2θ 17.1, rel. 100
- 4.594 Å, 2θ 19.3, rel. 68
- 3.914 Å, 2θ 22.7, rel. 96
- 3.311 Å, 2θ 26.9, rel. 45
- 3.092 Å, 2θ 28.9, rel. 31
- 3.007 Å, 2θ 29.7, rel. 34
- 2.957 Å, 2θ 30.2, rel. 85
- 2.567 Å, 2θ 34.9, rel. 64


11.
Structure and simulated X-ray diffraction stick pattern of LiCaAs2 (the GGA-PBE geometry in Alexandria; CuKα).
Peak positions follow from Bragg's law for the DFT cell and can differ from measured ones.

Structural model:
Cell: 6.196 6.160 10.241 Å, 90.00 107.60 90.00°
Fractional positions:
Li 0.000 0.143 0.000
Li 0.000 0.857 0.500
Li 0.500 0.357 0.500
Li 0.500 0.643 0.000
Ca 0.408 0.124 0.764
Ca 0.408 0.876 0.264
Ca 0.908 0.376 0.264
Ca 0.908 0.624 0.764
As 0.083 0.399 0.563
As 0.083 0.601 0.063
As 0.388 0.369 0.214
As 0.388 0.631 0.714
As 0.583 0.101 0.063
As 0.583 0.899 0.563
As 0.888 0.131 0.714
As 0.888 0.869 0.214

Largest 8 diffraction maxima, by angle, 2θ = 10–90°:
- 4.881 Å, 2θ 18.2, rel. 79
- 4.263 Å, 2θ 20.8, rel. 64
- 3.627 Å, 2θ 24.5, rel. 100
- 2.953 Å, 2θ 30.3, rel. 57
- 2.937 Å, 2θ 30.4, rel. 54
- 2.244 Å, 2θ 40.2, rel. 74
- 2.237 Å, 2θ 40.3, rel. 72
- 2.184 Å, 2θ 41.3, rel. 77


12.
Structure and simulated X-ray diffraction stick pattern of ThGe3Ir2 (the GGA-PBE geometry in Alexandria; CuKα).
Peak positions follow from Bragg's law for the DFT cell and can differ from measured ones.

Structural model:
Cell: 8.329 8.329 7.762 Å, 117.68 117.68 28.87°
Fractional positions:
Th 0.137 0.137 0.167
Th 0.863 0.863 0.833
Ge 0.028 0.028 0.676
Ge 0.324 0.324 0.106
Ge 0.351 0.351 0.513
Ge 0.649 0.649 0.487
Ge 0.676 0.676 0.894
Ge 0.972 0.972 0.324
Ir 0.199 0.199 0.715
Ir 0.496 0.496 0.173
Ir 0.504 0.504 0.827
Ir 0.801 0.801 0.285

Largest 8 diffraction maxima, by angle, 2θ = 10–90°:
- 3.404 Å, 2θ 26.2, rel. 44
- 3.118 Å, 2θ 28.6, rel. 48
- 2.780 Å, 2θ 32.2, rel. 93
- 2.544 Å, 2θ 35.3, rel. 100
- 2.431 Å, 2θ 37.0, rel. 57
- 2.359 Å, 2θ 38.1, rel. 29
- 2.097 Å, 2θ 43.1, rel. 54
- 2.077 Å, 2θ 43.6, rel. 52